Diffraction record for BH3Se. The powder diffractogram is theoretical, not measured: it uses a crystal structure in Alexandria, relaxed with PBE and Cu Kα (λ = 1.5418 Å).
Kinematic intensities with the Lorentz-polarization factor, no thermal factor.

Peak list (8 most intense, 2θ from 10° to 80°, in order of rising 2θ)
hkl 0 1 1, 2θ = 19.56°, I 100
hkl 0 0 2, 2θ = 24.11°, I 28
hkl 1 0 0, 2θ = 27.15°, I 16
hkl 0 2 0, 2θ = 31.09°, I 13
hkl -1 1 1, 2θ = 33.46°, I 14
hkl 1 1 -1, 2θ = 33.58°, I 12
hkl 1 -1 1, 2θ = 33.79°, I 11
hkl 0 2 2, 2θ = 39.72°, I 12

Crystal structure
Unit cell a=3.285 b=5.754 c=7.383 alpha=90.00 beta=90.92 gamma=90.26
Space group P1 (No. 1)
Unique sites:
B 0.000 0.000 0.000 [1 per cell]
B 0.011 0.500 0.575 [1 per cell]
H 0.004 0.183 0.078 [1 per cell]
H 0.009 0.683 0.497 [1 per cell]
H 0.017 0.502 0.738 [1 per cell]
H 0.500 0.356 0.304 [1 per cell]
H 0.509 0.856 0.271 [1 per cell]
H 0.994 0.002 0.837 [1 per cell]
Se 0.501 0.797 0.075 [1 per cell]
Se 0.507 0.297 0.500 [1 per cell]

=====

Diffraction record for SiB3H. The powder diffractogram is theoretical, not measured: it uses a crystal structure in Alexandria, relaxed with PBE and Cu Kα (λ = 1.5418 Å).
Kinematic intensities with the Lorentz-polarization factor, no thermal factor.

Peak list (6 most intense, 2θ from 10° to 80°, in order of rising 2θ)
hkl 1 0 0, 2θ = 27.36°, I 55
hkl 1 1 0, 2θ = 39.08°, I 59
hkl 1 1 1, 2θ = 48.36°, I 100
hkl 2 0 0, 2θ = 56.46°, I 49
hkl 2 1 0, 2θ = 63.85°, I 24
hkl 2 1 1, 2θ = 70.80°, I 20

Crystal structure
Unit cell a=3.260 b=3.260 c=3.260 alpha=90.00 beta=90.00 gamma=90.00
Space group Pm-3m (No. 221)
Unique sites:
Si 0.000 0.000 0.000 [1 per cell]
B 0.000 0.500 0.500 [3 per cell]
H 0.500 0.500 0.500 [1 per cell]

=====

Diffraction record for SrB2H8. The powder diffractogram is theoretical, not measured: it uses a crystal structure in Alexandria, relaxed with PBE and Cu Kα (λ = 1.5418 Å).
Kinematic intensities with the Lorentz-polarization factor, no thermal factor.

Peak list (8 most intense, 2θ from 10° to 80°, in order of rising 2θ)
hkl 0 0 3, 2θ = 16.82°, I 54
hkl 1 0 1, 2θ = 22.57°, I 100
hkl 0 1 2, 2θ = 24.61°, I 42
hkl 1 0 4, 2θ = 31.56°, I 58
hkl 0 1 5, 2θ = 35.97°, I 35
hkl 1 1 0, 2θ = 38.33°, I 34
hkl 1 1 3, 2θ = 42.13°, I 32
hkl 0 2 1, 2θ = 44.94°, I 18

Crystal structure
Unit cell a=4.6966 b=4.6966 c=15.8125 alpha=90.00 beta=90.00 gamma=120.00
Space group R-3m (No. 166, hexagonal axes)
Unique sites:
Sr 0.0000 0.0000 0.0000 [3 per cell]
B 0.0000 0.0000 0.2352 [6 per cell]
H 0.0000 0.0000 0.1588 [6 per cell]
H 0.0460 0.5230 0.9269 [18 per cell]

=====

Diffraction record for SrB3H12. The powder diffractogram is theoretical, not measured: it uses a crystal structure in Alexandria, relaxed with PBE and Cu Kα (λ = 1.5418 Å).
Kinematic intensities with the Lorentz-polarization factor, no thermal factor.

Peak list (8 most intense, 2θ from 10° to 80°, in order of rising 2θ)
hkl 0 1 2, 2θ = 16.56°, I 100
hkl 1 1 0, 2θ = 23.32°, I 25
hkl 1 0 4, 2θ = 23.68°, I 38
hkl 2 0 2, 2θ = 28.74°, I 23
hkl 0 2 4, 2θ = 33.47°, I 18
hkl 1 2 2, 2θ = 37.33°, I 26
hkl 1 1 6, 2θ = 37.80°, I 30
hkl 2 1 4, 2θ = 41.20°, I 21

Crystal structure
Unit cell a=7.6283 b=7.6283 c=18.2768 alpha=90.00 beta=90.00 gamma=120.00
Space group R3c (No. 161, hexagonal axes)
Unique sites:
Sr 0.0000 0.0000 0.0000 [6 per cell]
B 0.0090 0.3088 0.1062 [18 per cell]
H 0.0574 0.2698 0.1683 [18 per cell]
H 0.1412 0.3638 0.4448 [18 per cell]
H 0.1480 0.3528 0.0636 [18 per cell]
H 0.1899 0.3822 0.2650 [18 per cell]

=====

Diffraction record for SrBH. The powder diffractogram is theoretical, not measured: it uses a crystal structure in Alexandria, relaxed with PBE and Cu Kα (λ = 1.5418 Å).
Kinematic intensities with the Lorentz-polarization factor, no thermal factor.

Peak list (8 most intense, 2θ from 10° to 80°, in order of rising 2θ)
hkl 0 0 4, 2θ = 23.03°, I 31
hkl 1 1 1, 2θ = 24.68°, I 15
hkl 1 1 2, 2θ = 26.65°, I 100
hkl 0 2 0, 2θ = 29.72°, I 45
hkl 0 2 4, 2θ = 37.94°, I 24
hkl 2 0 1, 2θ = 38.61°, I 11
hkl 1 1 6, 2θ = 42.75°, I 20
hkl 1 3 2, 2θ = 50.93°, I 17

Crystal structure
Unit cell a=4.718 b=6.008 c=15.446 alpha=90.00 beta=90.00 gamma=90.00
Space group Pnma (No. 62)
Unique sites:
Sr 0.078 0.250 0.120 [4 per cell]
Sr 0.082 0.750 0.347 [4 per cell]
B 0.048 0.117 0.490 [8 per cell]
H 0.081 0.750 0.186 [4 per cell]
H 0.084 0.250 0.296 [4 per cell]

=====

Diffraction record for SrBH. The powder diffractogram is theoretical, not measured: it uses a crystal structure in Alexandria, relaxed with PBE and Cu Kα (λ = 1.5418 Å).
Kinematic intensities with the Lorentz-polarization factor, no thermal factor.

Peak list (8 most intense, 2θ from 10° to 80°, in order of rising 2θ)
hkl 2 0 0, 2θ = 23.52°, I 66
hkl 0 0 2, 2θ = 24.54°, I 72
hkl 2 0 -2, 2θ = 29.24°, I 61
hkl 2 0 1, 2θ = 29.43°, I 61
hkl 1 1 0, 2θ = 30.11°, I 100
hkl 1 1 1, 2θ = 33.81°, I 30
hkl 1 1 -2, 2θ = 37.07°, I 72
hkl 3 1 -1, 2θ = 44.72°, I 37

Crystal structure
Unit cell a=7.836 b=3.228 c=7.529 alpha=90.00 beta=105.47 gamma=90.00
Space group Cm (No. 8)
Unique sites:
Sr 0.000 0.000 0.000 [2 per cell]
Sr 0.139 0.000 0.555 [2 per cell]
B 0.306 0.500 0.291 [2 per cell]
B 0.333 0.000 0.289 [2 per cell]
H 0.268 0.000 0.886 [2 per cell]
H 0.497 0.000 0.727 [2 per cell]